Structure and computed X-ray diffraction stick pattern of PtO2F6 (a DFT-relaxed cell (PBE, the Materials Project); copper Kα).
Peak positions follow from Bragg's law for the DFT cell and can differ from measured ones.

```
PtO2F6
1.0
-5.0786 5.0786 5.0786
5.0786 -5.0786 5.0786
5.0786 5.0786 -5.0786
Pt O F
4 8 24
direct
0.0000 0.0000 0.0000 Pt
0.0000 0.5000 0.5000 Pt
0.5000 0.0000 0.5000 Pt
0.5000 0.5000 0.0000 Pt
0.0000 0.0669 0.5000 O
0.0000 0.9331 0.5000 O
0.0669 0.5000 0.0000 O
0.4331 0.4331 0.4331 O
0.5000 0.0000 0.0669 O
0.5000 0.0000 0.9331 O
0.5669 0.5669 0.5669 O
0.9331 0.5000 0.0000 O
0.0382 0.5853 0.3343 F
0.0471 0.2510 0.0853 F
0.0853 0.0471 0.2510 F
0.1657 0.7510 0.7039 F
0.2039 0.4529 0.5382 F
0.2490 0.2961 0.8343 F
0.2510 0.0853 0.0471 F
0.2961 0.8343 0.2490 F
0.3343 0.0382 0.5853 F
0.4147 0.6657 0.9618 F
0.4529 0.5382 0.2039 F
0.4618 0.7961 0.5471 F
0.5382 0.2039 0.4529 F
0.5471 0.4618 0.7961 F
0.5853 0.3343 0.0382 F
0.6657 0.9618 0.4147 F
0.7039 0.1657 0.7510 F
0.7490 0.9147 0.9529 F
0.7510 0.7039 0.1657 F
0.7961 0.5471 0.4618 F
0.8343 0.2490 0.2961 F
0.9147 0.9529 0.7490 F
0.9529 0.7490 0.9147 F
0.9618 0.4147 0.6657 F
```

Main lines, in order of rising 2θ (10 to 80 degrees two-theta):
d/Å  two_theta  I/Imax
5.079  17.5  841
3.591  24.8  1000
2.932  30.5  212
2.271  39.7  268
2.073  43.7  412
1.693  54.2  236
1.606  57.4  179
1.357  69.2  188